Starting from the PBE+U geometry in Alexandria, the X-ray powder pattern of HoWClO4 was computed for copper Kα.
No peak broadening, texture or thermal motion is included.

Principal peaks in the range 2θ from 10° to 90°, low angle first:
index, d (Å), Position (°2θ), Rel. int.
0 0 1, 6.620, 13.37, 35
2 0 0, 4.921, 18.03, 39
0 2 0, 3.661, 24.31, 100
2 0 1, 3.470, 25.67, 58
1 1 -2, 3.142, 28.41, 62
3 1 -1, 3.072, 29.07, 58
3 1 -2, 2.617, 34.27, 42
2 2 1, 2.519, 35.65, 34

a b c (Å): 10.3455 7.3228 6.9592
angles (deg): 90.00 107.96 90.00
Space group C2/m (No. 12)
Inequivalent atoms, fractional coordinates:
Ho 0.2222 0.0000 0.1166
W 0.1371 0.5000 0.2667
Cl 0.0103 0.0000 0.7696
O 0.0465 0.5000 0.8083
O 0.2021 0.3069 0.1570
O 0.2039 0.5000 0.5371